Calculated powder diffraction line list
Compound: BaSrCd2As4
Radiation: λ = 1.5418 Å (Cu Kα)
Structure: the GGA-PBE geometry in OQMD
Neutral-atom scattering factors, no anomalous dispersion.

Principal peaks in the range 2θ from 10° to 80°, low angle first:
d_spacing  2θ (°)  I_rel
3.148  28.35  37
2.680  33.44  100
2.215  40.74  18
2.133  42.37  36
2.097  43.14  16
1.314  71.83  26

Crystal structure
Cell lengths 4.2668, 4.2668, 23.3229 Å; angles 90.00, 90.00, 90.00 degrees
Space group I4mm (No. 107)
Symmetry-distinct sites (fractional):
1 Ba 0.0000 0.0000 0.0000 x2
2 Sr 0.0000 0.0000 0.7827 x2
3 Cd 0.0000 0.5000 0.1455 x4
4 As 0.0000 0.0000 0.2234 x2
5 As 0.0000 0.0000 0.5690 x2
6 As 0.0000 0.5000 0.3872 x4